This entry pairs a crystal structure of NaMg6Al with its computed XRD peak list. Radiation: CuKα. Structure: a crystal structure in the Materials Project, relaxed with PBE.
Kinematic intensities with the Lorentz-polarization factor, no thermal factor.

Cell: 5.113 6.391 11.163 Å, 90.00 90.00 90.00°
Space group Amm2 (No. 38)
Inequivalent atoms, fractional coordinates:
Na: 0.000 0.000 0.000
Mg: 0.000 0.248 0.250
Mg: 0.500 0.000 0.168
Mg: 0.500 0.000 0.665
Mg: 0.500 0.245 0.417
Al: 0.000 0.000 0.498

Most intense lines, 2θ = 10–90°, sorted by position:
d (Å)  I/Imax  h k l
2.791  13  0 0 4
2.773  24  0 2 2
2.557  38  2 0 0
2.450  50  1 0 4
2.438  100  1 2 2
1.880  15  2 2 2
1.608  17  0 2 6
1.452  18  3 2 2
1.361  19  2 2 6
1.338  13  1 4 4

=====

This entry pairs a crystal structure of Al2CdCl8 with its computed XRD peak list. Radiation: CuKα. Structure: a crystal structure in the Materials Project, relaxed with PBE.
Kinematic intensities with the Lorentz-polarization factor, no thermal factor.

Cell: 7.191 7.108 13.230 Å, 90.00 92.34 90.00°
Space group Pc (No. 7)
Inequivalent atoms, fractional coordinates:
Al: 0.000 0.065 0.000
Al: 0.583 0.425 0.200
Cd: 0.143 0.243 0.238
Cl: 0.096 0.349 0.039
Cl: 0.216 0.083 0.419
Cl: 0.357 0.459 0.788
Cl: 0.491 0.133 0.183
Cl: 0.611 0.426 0.565
Cl: 0.744 0.062 0.919
Cl: 0.842 0.429 0.295
Cl: 0.994 0.062 0.652

Most intense lines, 2θ = 10–90°, sorted by position:
d (Å)  I/Imax  h k l
7.185  32  1 0 0
6.610  33  0 0 2
6.260  100  0 1 1
4.766  39  1 1 -1
3.085  37  1 2 1
2.997  30  0 1 4
2.927  29  2 1 -2
2.337  22  2 2 2
2.315  22  1 1 5
2.014  31  1 3 -3

=====

This entry pairs a crystal structure of Nd3TaCl6O4 with its computed XRD peak list. Radiation: CuKα. Structure: a crystal structure in the Materials Project, relaxed with PBE.
Kinematic intensities with the Lorentz-polarization factor, no thermal factor.

Cell: 12.9263 12.9263 3.9565 Å, 90.00 90.00 120.00°
Space group P6_3/m (No. 176)
Inequivalent atoms, fractional coordinates:
Nd: 0.1151 0.3962 0.2500
Ta: 0.3333 0.6667 0.7500
Cl: 0.0698 0.6273 0.2500
Cl: 0.1060 0.8568 0.7500
O: 0.2002 0.5078 0.7500
O: 0.3333 0.6667 0.2500

Most intense lines, 2θ = 10–90°, sorted by position:
d (Å)  I/Imax  h k l
5.597  39  2 0 0
4.231  63  1 2 0
3.231  79  2 0 1
2.890  86  1 2 1
2.443  100  4 1 0
2.154  49  2 3 1
1.792  33  2 5 0
1.669  31  4 3 1
1.537  31  4 1 2
1.483  31  7 1 0

=====

This entry pairs a crystal structure of Ho5SbAu2 with its computed XRD peak list. Radiation: CuKα. Structure: a crystal structure in the Materials Project, relaxed with PBE.
Kinematic intensities with the Lorentz-polarization factor, no thermal factor.

Cell: 8.086 8.086 12.930 Å, 90.00 90.00 90.00°
Space group I4/mcm (No. 140)
Inequivalent atoms, fractional coordinates:
Ho: 0.000 0.000 0.000
Ho: 0.157 0.343 0.142
Sb: 0.000 0.000 0.250
Au: 0.137 0.363 0.500

Most intense lines, 2θ = 10–90°, sorted by position:
d (Å)  I/Imax  h k l
6.465  14  0 0 2
2.770  100  2 1 3
2.557  53  3 1 0
2.525  15  2 0 4
2.103  15  2 1 5
1.785  9  4 1 3
1.648  9  3 1 6
1.429  10  4 4 0
1.418  18  5 2 3
1.366  11  3 1 8

=====

This entry pairs a crystal structure of K2BrCl6F with its computed XRD peak list. Radiation: CuKα. Structure: a crystal structure in the Materials Project, relaxed with PBE.
Kinematic intensities with the Lorentz-polarization factor, no thermal factor.

Cell: 10.124 10.124 10.124 Å, 90.00 90.00 90.00°
Space group Fm-3m (No. 225)
Inequivalent atoms, fractional coordinates:
K: 0.250 0.250 0.250
Br: 0.000 0.000 0.000
Cl: 0.000 0.000 0.243
F: 0.000 0.000 0.500

Most intense lines, 2θ = 10–90°, sorted by position:
d (Å)  I/Imax  h k l
5.845  36  1 1 1
5.062  35  2 0 0
3.579  41  2 2 0
2.923  50  2 2 2
2.531  100  4 0 0
2.264  15  4 2 0
2.067  17  4 2 2
1.790  62  4 4 0
1.461  20  4 4 4
1.132  25  8 4 0

=====

This entry pairs a crystal structure of Rb3TlCl6 with its computed XRD peak list. Radiation: CuKα. Structure: a crystal structure in the Materials Project, relaxed with PBE.
Kinematic intensities with the Lorentz-polarization factor, no thermal factor.

Cell: 13.503 8.079 12.922 Å, 90.00 108.06 90.00°
Space group P2_1/c (No. 14)
Inequivalent atoms, fractional coordinates:
Rb: 0.096 0.041 0.359
Rb: 0.316 0.564 0.263
Rb: 0.320 0.065 0.115
Tl: 0.000 0.000 0.000
Tl: 0.500 0.000 0.500
Cl: 0.100 0.227 0.601
Cl: 0.120 0.501 0.378
Cl: 0.129 0.686 0.649
Cl: 0.349 0.698 0.007
Cl: 0.350 0.209 0.395
Cl: 0.499 0.640 0.812

Most intense lines, 2θ = 10–90°, sorted by position:
d (Å)  I/Imax  h k l
6.438  94  1 1 -1
5.595  46  1 1 1
4.039  35  0 2 0
3.929  69  3 1 -1
3.878  27  2 0 2
3.801  100  1 1 -3
2.797  73  2 2 2
2.671  26  4 0 -4
2.153  31  2 0 -6
1.901  30  2 2 -6

=====

This entry pairs a crystal structure of PtO with its computed XRD peak list. Radiation: CuKα. Structure: a crystal structure in the Materials Project, relaxed with PBE.
Kinematic intensities with the Lorentz-polarization factor, no thermal factor.

Cell: 4.626 4.626 4.626 Å, 90.00 90.00 90.00°
Space group Fm-3m (No. 225)
Inequivalent atoms, fractional coordinates:
Pt: 0.000 0.000 0.000
O: 0.000 0.000 0.500

Most intense lines, 2θ = 10–90°, sorted by position:
d (Å)  I/Imax  h k l
2.671  100  1 1 1
2.313  71  2 0 0
1.635  48  2 2 0
1.395  44  3 1 1
1.335  16  2 2 2
1.156  8  4 0 0

=====

This entry pairs a crystal structure of ReH2NO2 with its computed XRD peak list. Radiation: CuKα. Structure: a crystal structure in the Materials Project, relaxed with PBE.
Kinematic intensities with the Lorentz-polarization factor, no thermal factor.

Cell: 6.173 6.173 13.752 Å, 90.00 90.00 90.00°
Space group I4_1/a (No. 88, origin choice 2)
Inequivalent atoms, fractional coordinates:
Re: 0.000 0.000 0.000
H: 0.075 0.417 0.553
N: 0.000 0.000 0.500
O: 0.003 0.066 0.279

Most intense lines, 2θ = 10–90°, sorted by position:
d (Å)  I/Imax  h k l
5.632  100  1 0 1
3.680  50  1 0 3
3.438  54  0 0 4
2.816  75  2 0 2
2.707  26  1 2 1
2.365  22  2 1 3
2.183  30  2 2 0
1.842  58  2 2 4
1.353  19  4 2 2
1.182  13  4 2 6